This entry pairs a crystal structure of Ba4Y2Cu4W2O17 with its calculated PXRD pattern. Radiation: Cu Kα (λ = 1.5418 Å). Structure: the PBE+U geometry in Alexandria.
No peak broadening, texture or thermal motion is included.

Cell and atoms:
```
data_Ba4Y2Cu4W2O17
_cell_length_a 5.896
_cell_length_b 6.053
_cell_length_c 12.313
_cell_angle_alpha 101.73
_cell_angle_beta 101.45
_cell_angle_gamma 98.58
_space_group_name_H-M_alt 'P 1'
_space_group_IT_number 1
loop_
_space_group_symop_operation_xyz
'x,y,z'
loop_
_atom_site_label
_atom_site_type_symbol
_atom_site_fract_x
_atom_site_fract_y
_atom_site_fract_z
Ba1 Ba 0.000 0.000 0.000
Ba2 Ba 0.159 0.162 0.345
Ba3 Ba 0.388 0.360 0.693
Ba4 Ba 0.656 0.644 0.341
Y1 Y 0.575 0.379 0.998
Y2 Y 0.842 0.910 0.685
Cu1 Cu 0.079 0.580 0.164
Cu2 Cu 0.414 0.911 0.839
Cu3 Cu 0.773 0.248 0.522
Cu4 Cu 0.965 0.455 0.843
W1 W 0.245 0.759 0.520
W2 W 0.577 0.067 0.175
O1 O 0.048 0.469 0.510
O2 O 0.203 0.663 0.357
O3 O 0.226 0.308 0.882
O4 O 0.234 0.846 0.689
O5 O 0.308 0.860 0.178
O6 O 0.401 0.315 0.151
O7 O 0.467 0.048 0.526
O8 O 0.502 0.978 0.002
O9 O 0.534 0.644 0.558
O10 O 0.649 0.186 0.339
O11 O 0.674 0.148 0.839
O12 O 0.786 0.856 0.184
O13 O 0.795 0.686 0.805
O14 O 0.851 0.304 0.162
O15 O 0.907 0.287 0.684
O16 O 0.941 0.549 0.001
O17 O 0.989 0.928 0.507
```

Most intense lines, 10° ≤ 2θ ≤ 90°, low angle first:
h k l  2theta  I_rel
0 2 -1  29.9  51
1 -1 3  30.2  100
2 0 -1  30.7  51
1 1 2  32.3  45
1 1 -4  32.6  43
2 -2 0  39.8  28
0 0 6  46.5  24
2 2 -2  46.6  20